No. 1
The following is a theoretical powder XRD pattern of Ca2Ti6N2O11. It was derived from the PBE geometry in Alexandria, using a wavelength of 1.5418 Å.

Structure:
```
data_Ca2Ti6N2O11
_chemical_formula_sum 'Ca4 Ti12 N4 O22'
_space_group_name_H-M_alt 'C 1 m 1'
_space_group_IT_number 8
_space_group_name_Hall 'C -2y'
_cell_length_a 14.8083
_cell_length_b 3.8023
_cell_length_c 9.5056
_cell_angle_alpha 90.00
_cell_angle_beta 101.20
_cell_angle_gamma 90.00
loop_
_atom_site_label
_atom_site_type_symbol
_atom_site_fract_x
_atom_site_fract_y
_atom_site_fract_z
Ca1 Ca 0.0000 0.0000 0.0000
Ca2 Ca 0.0889 0.0000 0.5471
Ti1 Ti 0.1785 0.5000 0.8224
Ti2 Ti 0.2250 0.5000 0.1436
Ti3 Ti 0.2780 0.5000 0.4748
Ti4 Ti 0.3147 0.0000 0.9515
Ti5 Ti 0.3996 0.0000 0.2909
Ti6 Ti 0.4294 0.0000 0.6528
N1 N 0.2030 0.0000 0.8102
N2 N 0.2982 0.5000 0.9742
O1 O 0.0538 0.5000 0.7073
O2 O 0.1177 0.5000 0.0010
O3 O 0.1819 0.5000 0.3166
O4 O 0.2061 0.5000 0.6057
O5 O 0.2571 0.0000 0.1452
O6 O 0.3158 0.0000 0.4798
O7 O 0.3594 0.5000 0.2958
O8 O 0.4112 0.0000 0.8393
O9 O 0.4131 0.5000 0.6141
O10 O 0.4428 0.0000 0.1228
O11 O 0.4981 0.0000 0.4322
```

Principal peaks in the range 2θ = 10–90°, by angle:
2θ = 12.2°, I 90, hkl 2 0 0
2θ = 13.9°, I 72, hkl 2 0 -1
2θ = 29.0°, I 65, hkl 2 0 -3
2θ = 29.9°, I 100, hkl 3 1 0
2θ = 30.3°, I 90, hkl 3 1 -1
2θ = 34.1°, I 77, hkl 4 0 2
2θ = 41.8°, I 65, hkl 4 0 -4
2θ = 47.8°, I 81, hkl 0 2 0

---

No. 2
The following is a theoretical powder XRD pattern of Ca2UN2O2. It was derived from the PBE geometry in Alexandria, using a wavelength of 1.5418 Å.

Structure:
```
data_Ca2UN2O2
_chemical_formula_sum 'Ca4 U2 N4 O4'
_space_group_name_H-M_alt 'I 4/m m m'
_space_group_IT_number 139
_space_group_name_Hall '-I 4 2'
_cell_length_a 4.2581
_cell_length_b 4.2581
_cell_length_c 12.1623
_cell_angle_alpha 90.00
_cell_angle_beta 90.00
_cell_angle_gamma 90.00
loop_
_atom_site_label
_atom_site_type_symbol
_atom_site_fract_x
_atom_site_fract_y
_atom_site_fract_z
Ca1 Ca 0.0000 0.0000 0.1429
U1 U 0.0000 0.0000 0.5000
N1 N 0.0000 0.5000 0.0000
O1 O 0.0000 0.0000 0.3238
```

Principal peaks in the range 2θ = 10–90°, by angle:
2θ = 14.6°, I 85, hkl 0 0 2
2θ = 22.1°, I 100, hkl 1 0 1
2θ = 29.7°, I 71, hkl 1 1 0
2θ = 30.4°, I 95, hkl 1 0 3
2θ = 42.5°, I 36, hkl 2 0 0
2θ = 42.8°, I 38, hkl 1 0 5
2θ = 48.4°, I 27, hkl 2 1 1
2θ = 53.1°, I 42, hkl 2 1 3